Diffraction record for Tb3Y2Ho3. The XRD peak list is calculated, not measured: it uses the GGA-PBE geometry in Alexandria and Cu Kα (λ = 1.5418 Å).
Kinematic intensities with the Lorentz-polarization factor, no thermal factor.

Atomic structure:
```
data_Tb3Y2Ho3
_chemical_formula_sum 'Tb6 Y4 Ho6'
_cell_length_a 5.0186
_cell_length_b 5.0195
_cell_length_c 20.0954
_cell_angle_alpha 90.00
_cell_angle_beta 90.00
_cell_angle_gamma 90.00
_space_group_name_H-M_alt 'I m m m'
_space_group_IT_number 71
_space_group_name_Hall '-I 2 2'
loop_
_atom_site_label
_atom_site_type_symbol
_atom_site_fract_x
_atom_site_fract_y
_atom_site_fract_z
Tb1 Tb 0.0000 0.0000 0.0000
Tb2 Tb 0.0000 0.5000 0.1240
Y1 Y 0.0000 0.0000 0.2498
Ho1 Ho 0.0000 0.0000 0.5000
Ho2 Ho 0.0000 0.5000 0.3756
```

Largest 10 diffraction maxima, most intense first, 2θ = 10–90°:
2.899 Å, 2θ = 30.85°, intensity 1000, (1 1 4); 2.510 Å, 2θ = 35.77°, intensity 505, (2 0 0); 1.514 Å, 2θ = 61.23°, intensity 423, (3 1 4); 1.775 Å, 2θ = 51.48°, intensity 358, (2 2 0); 1.152 Å, 2θ = 84.03°, intensity 175, (3 3 4); 1.123 Å, 2θ = 86.74°, intensity 164, (4 2 0); 1.449 Å, 2θ = 64.27°, intensity 122, (2 2 8); 1.255 Å, 2θ = 75.79°, intensity 57, (4 0 0); 3.347 Å, 2θ = 26.63°, intensity 23, (1 1 2); 2.435 Å, 2θ = 36.91°, intensity 22, (1 1 6)